Simulated powder diffractogram of Ca2PrAl6 for Cu Kα, from a structure optimized by DFT (GGA-PBE).
Lines closer than 0.1° are merged.

Structure:
```
data_Ca2PrAl6
_cell_length_a 8.0624
_cell_length_b 8.0624
_cell_length_c 3.6405
_cell_angle_alpha 90.00
_cell_angle_beta 90.00
_cell_angle_gamma 120.00
_symmetry_space_group_name_H-M 'P 6/m m m'
_symmetry_Int_Tables_number 191
_symmetry_space_group_name_Hall '-P 6 2'
loop_
_atom_site_label
_atom_site_fract_x
_atom_site_fract_y
_atom_site_fract_z
_atom_site_occupancy
Ca1 0.3333 0.6667 0.0000 1
Pr1 0.0000 0.0000 0.0000 1
Al1 0.0000 0.3343 0.5000 1
```

Main lines, in order of rising 2θ (10 to 90 degrees two-theta):
index	2θ (°)	I (rel.)
1 0 0	12.7	48
1 1 0	22.1	31
2 0 0	25.5	10
1 0 1	27.6	17
1 1 1	33.2	100
3 0 0	38.7	52
2 1 1	42.3	11
2 2 1	51.9	30
3 0 2	65.1	21
4 1 1	66.5	25

Simulated powder diffractogram of Ca2Al12Pt7 for Cu Kα, from a structure optimized by DFT (GGA-PBE).
Lines closer than 0.1° are merged.

Structure:
```
data_Ca2Al12Pt7
_cell_length_a 10.0510
_cell_length_b 10.0510
_cell_length_c 4.1239
_cell_angle_alpha 90.00
_cell_angle_beta 90.00
_cell_angle_gamma 120.00
_symmetry_space_group_name_H-M 'P -6'
_symmetry_Int_Tables_number 174
_symmetry_space_group_name_Hall 'P -6'
loop_
_atom_site_label
_atom_site_fract_x
_atom_site_fract_y
_atom_site_fract_z
_atom_site_occupancy
Ca1 0.0000 0.0000 0.0000 1
Ca2 0.3333 0.6667 0.5000 1
Al1 0.0239 0.2820 0.5000 1
Al2 0.1401 0.7502 0.0000 1
Al3 0.3759 0.1967 0.0000 1
Al4 0.5369 0.4157 0.5000 1
Pt1 0.0325 0.4528 0.0000 1
Pt2 0.2466 0.2316 0.5000 1
Pt3 0.6667 0.3333 0.0000 1
```

Main lines, in order of rising 2θ (10 to 90 degrees two-theta):
index	2θ (°)	I (rel.)
1 0 1	23.9	42
2 1 0	27.1	100
1 1 1	28.0	53
2 0 1	29.8	49
1 2 1	34.9	33
2 2 1	42.1	30
1 3 1	43.4	58
0 0 2	43.9	26
3 2 1	50.8	26
2 1 2	52.4	34

Simulated powder diffractogram of CaAl3Pt2 for Cu Kα, from a structure optimized by DFT (GGA-PBE).
Lines closer than 0.1° are merged.

Structure:
```
data_CaAl3Pt2
_cell_length_a 14.6428
_cell_length_b 4.2252
_cell_length_c 8.2654
_cell_angle_alpha 90.00
_cell_angle_beta 114.09
_cell_angle_gamma 90.00
_symmetry_space_group_name_H-M 'C 1 2/m 1'
_symmetry_Int_Tables_number 12
_symmetry_space_group_name_Hall '-C 2y'
loop_
_atom_site_label
_atom_site_fract_x
_atom_site_fract_y
_atom_site_fract_z
_atom_site_occupancy
Ca1 0.1448 0.0000 0.0817 1
Al1 0.0184 0.0000 0.3453 1
Al2 0.1209 0.5000 0.7327 1
Al3 0.1772 0.5000 0.4454 1
Pt1 0.0149 0.5000 0.1724 1
Pt2 0.1717 0.0000 0.6368 1
```

Main lines, in order of rising 2θ (10 to 90 degrees two-theta):
index	2θ (°)	I (rel.)
2 0 1	21.0	50
1 1 -1	23.7	81
4 0 -1	24.3	51
3 1 0	29.1	100
1 1 -2	30.4	67
2 0 2	31.6	37
0 2 0	42.8	39
5 1 -3	43.7	44
1 1 3	44.8	40
3 1 -4	49.1	48

Simulated powder diffractogram of Ca3Al9Pt2 for Cu Kα, from a structure optimized by DFT (GGA-PBE).
Lines closer than 0.1° are merged.

Structure:
```
data_Ca3Al9Pt2
_cell_length_a 4.3229
_cell_length_b 10.0315
_cell_length_c 12.4798
_cell_angle_alpha 90.00
_cell_angle_beta 90.00
_cell_angle_gamma 90.00
_symmetry_space_group_name_H-M 'I m m m'
_symmetry_Int_Tables_number 71
_symmetry_space_group_name_Hall '-I 2 2'
loop_
_atom_site_label
_atom_site_fract_x
_atom_site_fract_y
_atom_site_fract_z
_atom_site_occupancy
Ca1 0.0000 0.0000 0.0000 1
Ca2 0.0000 0.0000 0.3012 1
Al1 0.0000 0.2840 0.1286 1
Al2 0.0000 0.3639 0.3432 1
Al3 0.0000 0.5000 0.0000 1
Pt1 0.0000 0.1953 0.5000 1
```

Main lines, in order of rising 2θ (10 to 90 degrees two-theta):
index	2θ (°)	I (rel.)
0 1 1	11.3	38
0 0 2	14.2	98
1 0 1	21.8	69
0 2 2	22.7	48
0 3 1	27.6	36
1 2 1	28.2	55
0 3 3	34.4	44
1 2 3	34.9	100
1 3 2	36.9	61
2 0 0	41.8	64

Repeat the fourth record exactly.
Simulated powder diffractogram of Ca3Al9Pt2 for Cu Kα, from a structure optimized by DFT (GGA-PBE).
Lines closer than 0.1° are merged.

Structure:
```
data_Ca3Al9Pt2
_cell_length_a 4.3229
_cell_length_b 10.0315
_cell_length_c 12.4798
_cell_angle_alpha 90.00
_cell_angle_beta 90.00
_cell_angle_gamma 90.00
_symmetry_space_group_name_H-M 'I m m m'
_symmetry_Int_Tables_number 71
_symmetry_space_group_name_Hall '-I 2 2'
loop_
_atom_site_label
_atom_site_fract_x
_atom_site_fract_y
_atom_site_fract_z
_atom_site_occupancy
Ca1 0.0000 0.0000 0.0000 1
Ca2 0.0000 0.0000 0.3012 1
Al1 0.0000 0.2840 0.1286 1
Al2 0.0000 0.3639 0.3432 1
Al3 0.0000 0.5000 0.0000 1
Pt1 0.0000 0.1953 0.5000 1
```

Main lines, in order of rising 2θ (10 to 90 degrees two-theta):
index	2θ (°)	I (rel.)
0 1 1	11.3	38
0 0 2	14.2	98
1 0 1	21.8	69
0 2 2	22.7	48
0 3 1	27.6	36
1 2 1	28.2	55
0 3 3	34.4	44
1 2 3	34.9	100
1 3 2	36.9	61
2 0 0	41.8	64